(1)
This entry pairs a crystal structure of Pr2Y5Ho2 with its computed powder X-ray diffraction pattern. Radiation: Cu Kα (weighted mean of Kα1 and Kα2). Structure: a cell relaxed with GGA-PBE.

Crystal structure
Lattice parameters (Å, degrees): 11.0838 11.0838 8.2936 100.23 100.23 18.20
Element x y z (fractional)
Pr (0.1803, 0.1803, 0.1437)
Pr (0.8197, 0.8197, 0.8563)
Y (0.0000, 0.0000, 0.0000)
Y (0.0948, 0.0948, 0.7333)
Y (0.3097, 0.3097, 0.4678)
Y (0.6903, 0.6903, 0.5322)
Y (0.9052, 0.9052, 0.2667)
Ho (0.4533, 0.4533, 0.6425)
Ho (0.5467, 0.5467, 0.3575)

Main lines, in order of falling intensity (10 to 80 degrees two-theta):
2θ (°)  I (rel.)
35.98  100.0
29.76  75.6
32.48  69.7
29.57  68.5
34.57  59.2
25.25  59.2
27.70  59.0
28.31  48.4
42.24  41.7
33.12  39.8
24.88  35.6
62.01  27.4

---

(2)
This entry pairs a crystal structure of KTlCuCl5 with its computed powder X-ray diffraction pattern. Radiation: Cu Kα (weighted mean of Kα1 and Kα2). Structure: a cell relaxed with GGA-PBE.

Crystal structure
Lattice parameters (Å, degrees): 7.3471 7.3471 10.0790 104.05 104.05 106.73
Element x y z (fractional)
K (0.1556, 0.8444, 0.7500)
K (0.8444, 0.1556, 0.2500)
Tl (0.5000, 0.5000, 0.0000)
Tl (0.5000, 0.5000, 0.5000)
Cu (0.1907, 0.8093, 0.2500)
Cu (0.8093, 0.1907, 0.7500)
Cl (0.1136, 0.2475, 0.9199)
Cl (0.1839, 0.6059, 0.3898)
Cl (0.2475, 0.1136, 0.4199)
Cl (0.3941, 0.8161, 0.1102)
Cl (0.4200, 0.5800, 0.7500)
Cl (0.5800, 0.4200, 0.2500)
Cl (0.6059, 0.1839, 0.8898)
Cl (0.7525, 0.8864, 0.5801)
Cl (0.8161, 0.3941, 0.6102)
Cl (0.8864, 0.7525, 0.0801)

Main lines, in order of falling intensity (10 to 80 degrees two-theta):
2θ (°)  I (rel.)
19.43  100.0
13.36  91.0
24.53  54.8
25.25  54.2
22.20  52.5
46.42  35.1
36.21  32.9
32.08  25.6
38.45  25.2
40.86  24.7
15.03  22.6
42.89  22.2

---

(3)
This entry pairs a crystal structure of LaHfZn17 with its computed powder X-ray diffraction pattern. Radiation: Cu Kα (weighted mean of Kα1 and Kα2). Structure: a cell relaxed with GGA-PBE.

Crystal structure
Lattice parameters (Å, degrees): 6.7799 6.7799 6.7799 82.76 82.76 82.76
Element x y z (fractional)
La (0.0000, 0.0000, 0.0000)
Hf (0.3340, 0.3340, 0.3340)
Zn (0.0271, 0.0271, 0.4855)
Zn (0.0271, 0.4855, 0.0271)
Zn (0.1548, 0.6734, 0.6734)
Zn (0.3165, 0.3165, 0.8054)
Zn (0.3165, 0.8054, 0.3165)
Zn (0.3702, 0.6593, 0.9641)
Zn (0.3702, 0.9641, 0.6593)
Zn (0.4855, 0.0271, 0.0271)
Zn (0.5575, 0.5575, 0.5575)
Zn (0.6593, 0.3702, 0.9641)
Zn (0.6593, 0.9641, 0.3702)
Zn (0.6734, 0.1548, 0.6734)
Zn (0.6734, 0.6734, 0.1548)
Zn (0.7568, 0.7568, 0.7568)
Zn (0.8054, 0.3165, 0.3165)
Zn (0.9641, 0.3702, 0.6593)
Zn (0.9641, 0.6593, 0.3702)

Main lines, in order of falling intensity (10 to 80 degrees two-theta):
2θ (°)  I (rel.)
40.49  100.0
40.24  55.5
41.23  42.3
34.67  39.5
28.49  25.4
45.46  25.1
41.50  23.8
35.81  23.2
74.65  20.3
58.98  18.4
73.15  16.7
58.40  15.1

---

(4)
This entry pairs a crystal structure of Nd2AlCrS6 with its computed powder X-ray diffraction pattern. Radiation: Cu Kα (weighted mean of Kα1 and Kα2). Structure: a cell relaxed with GGA-PBE.

Crystal structure
Lattice parameters (Å, degrees): 6.3594 6.9078 11.1200 90.00 124.35 90.00
Element x y z (fractional)
Nd (0.2146, 0.0985, 0.2506)
Nd (0.2146, 0.4015, 0.7506)
Nd (0.7854, 0.5985, 0.2494)
Nd (0.7854, 0.9015, 0.7494)
Al (0.5000, 0.0000, 0.0000)
Al (0.5000, 0.5000, 0.5000)
Cr (0.0000, 0.0000, 0.5000)
Cr (0.0000, 0.5000, 0.0000)
S (0.1329, 0.1894, 0.9499)
S (0.1329, 0.3106, 0.4499)
S (0.2642, 0.6898, 0.9498)
S (0.2642, 0.8102, 0.4498)
S (0.3593, 0.0167, 0.7504)
S (0.3593, 0.4833, 0.2504)
S (0.6407, 0.5167, 0.7496)
S (0.6407, 0.9833, 0.2496)
S (0.7358, 0.1898, 0.5502)
S (0.7358, 0.3102, 0.0502)
S (0.8671, 0.6894, 0.5501)
S (0.8671, 0.8106, 0.0501)

Main lines, in order of falling intensity (10 to 80 degrees two-theta):
2θ (°)  I (rel.)
39.29  100.0
27.12  71.4
27.31  69.4
42.91  68.9
27.59  60.8
21.26  51.0
21.37  50.8
32.42  40.8
28.06  38.4
19.34  35.1
18.97  35.0
32.58  32.9

---

(5)
This entry pairs a crystal structure of Cd3Pb8 with its computed powder X-ray diffraction pattern. Radiation: Cu Kα (weighted mean of Kα1 and Kα2). Structure: a cell relaxed with GGA-PBE.

Crystal structure
Lattice parameters (Å, degrees): 7.8369 7.8369 7.8369 108.91 108.91 108.91
Element x y z (fractional)
Cd (0.0000, 0.5000, 0.5000)
Cd (0.5000, 0.0000, 0.5000)
Cd (0.5000, 0.5000, 0.0000)
Pb (0.0052, 0.1862, 0.6864)
Pb (0.1862, 0.6864, 0.0052)
Pb (0.2010, 0.2010, 0.2010)
Pb (0.3136, 0.9948, 0.8138)
Pb (0.6864, 0.0052, 0.1862)
Pb (0.7990, 0.7990, 0.7990)
Pb (0.8138, 0.3136, 0.9948)
Pb (0.9948, 0.8138, 0.3136)

Main lines, in order of falling intensity (10 to 80 degrees two-theta):
2θ (°)  I (rel.)
30.86  100.0
34.33  60.3
13.61  56.1
36.32  51.7
31.24  47.7
37.31  38.0
24.17  27.5
27.98  25.4
36.87  22.5
37.20  21.8
51.35  18.3
51.65  18.3

---

(6)
This entry pairs a crystal structure of Tb5Sm3Ho2 with its computed powder X-ray diffraction pattern. Radiation: Cu Kα (weighted mean of Kα1 and Kα2). Structure: a cell relaxed with GGA-PBE.

Crystal structure
Lattice parameters (Å, degrees): 9.5392 9.5392 9.4800 108.34 108.34 111.70
Element x y z (fractional)
Tb (0.0246, 0.9754, 0.7500)
Tb (0.1508, 0.3832, 0.7812)
Tb (0.2729, 0.7271, 0.2500)
Tb (0.3832, 0.1508, 0.2812)
Tb (0.4698, 0.5302, 0.2500)
Tb (0.5302, 0.4698, 0.7500)
Tb (0.6168, 0.8492, 0.7188)
Tb (0.7271, 0.2729, 0.7500)
Tb (0.8492, 0.6168, 0.2188)
Tb (0.9754, 0.0246, 0.2500)
Sm (0.0163, 0.2666, 0.0463)
Sm (0.2326, 0.7674, 0.7500)
Sm (0.2666, 0.0163, 0.5463)
Sm (0.7334, 0.9837, 0.4537)
Sm (0.7674, 0.2326, 0.2500)
Sm (0.9837, 0.7334, 0.9537)
Ho (0.2253, 0.4629, 0.4534)
Ho (0.4629, 0.2253, 0.9534)
Ho (0.5371, 0.7747, 0.0466)
Ho (0.7747, 0.5371, 0.5466)

Main lines, in order of falling intensity (10 to 80 degrees two-theta):
2θ (°)  I (rel.)
30.35  100.0
30.49  33.5
33.47  31.7
38.14  18.3
32.16  16.3
66.13  13.3
49.09  13.0
58.02  11.8
57.83  10.6
49.96  8.7
58.09  8.5
36.00  7.7

---

(7)
This entry pairs a crystal structure of Ce4Ga12Co with its computed powder X-ray diffraction pattern. Radiation: Cu Kα (weighted mean of Kα1 and Kα2). Structure: a cell relaxed with GGA-PBE.

Crystal structure
Lattice parameters (Å, degrees): 7.5173 7.5173 7.5173 109.47 109.47 109.47
Element x y z (fractional)
Ce (0.0000, 0.0000, 0.5000)
Ce (0.0000, 0.5000, 0.0000)
Ce (0.5000, 0.0000, 0.0000)
Ce (0.5000, 0.5000, 0.5000)
Ga (0.0000, 0.2852, 0.2852)
Ga (0.0000, 0.7148, 0.7148)
Ga (0.2500, 0.5000, 0.7500)
Ga (0.2500, 0.7500, 0.5000)
Ga (0.2852, 0.0000, 0.2852)
Ga (0.2852, 0.2852, 0.0000)
Ga (0.5000, 0.2500, 0.7500)
Ga (0.5000, 0.7500, 0.2500)
Ga (0.7148, 0.0000, 0.7148)
Ga (0.7148, 0.7148, 0.0000)
Ga (0.7500, 0.2500, 0.5000)
Ga (0.7500, 0.5000, 0.2500)
Co (0.0000, 0.0000, 0.0000)

Main lines, in order of falling intensity (10 to 80 degrees two-theta):
2θ (°)  I (rel.)
35.84  100.0
41.62  57.9
60.32  35.0
72.19  32.2
29.10  18.3
75.95  10.8
20.46  6.0
51.58  5.4
68.35  5.1
38.82  4.9
46.80  4.7
49.24  4.4

---

What is the formula in the first record? Pr2Y5Ho2

---

What is the formula in the seventh record? Ce4Ga12Co